[1]
La3Hg2Os: computed X-ray diffraction stick pattern (Cu Kα (weighted mean of Kα1 and Kα2)), based on the GGA-PBE geometry in Alexandria.

Structure:
Cell: 5.350 7.883 8.223 Å, 90.00 108.57 90.00°
Fractional positions:
1 La 0.000 0.228 0.000
2 La 0.000 0.772 0.000
3 La 0.322 0.218 0.643
4 La 0.322 0.782 0.643
5 La 0.678 0.218 0.357
6 La 0.678 0.782 0.357
7 Hg 0.162 0.500 0.327
8 Hg 0.500 0.000 0.000
9 Hg 0.500 0.500 0.000
10 Hg 0.838 0.500 0.673
11 Os 0.143 0.000 0.315
12 Os 0.857 0.000 0.685

Top 10 peaks for 2θ from 10° to 90°, low angle first:
2theta, Rel. int.
33.0, 98
33.1, 100
33.5, 51
34.5, 44
46.1, 17
48.7, 16
49.1, 17
58.1, 17
59.5, 18
59.7, 18

---

[2]
Cs2TiBr6O: computed X-ray diffraction stick pattern (Cu Kα (weighted mean of Kα1 and Kα2)), based on the GGA-PBE geometry in Alexandria.

Structure:
Cell: 8.005 8.005 8.005 Å, 123.04 123.04 84.81°
Fractional positions:
1 Cs 0.250 0.750 0.500
2 Cs 0.750 0.250 0.500
3 Ti 0.000 0.000 0.000
4 Br 0.214 0.214 0.000
5 Br 0.235 0.235 0.470
6 Br 0.235 0.765 0.000
7 Br 0.765 0.235 0.000
8 Br 0.765 0.765 0.530
9 Br 0.786 0.786 0.000
10 O 0.500 0.500 0.000

Top 10 peaks for 2θ from 10° to 90°, low angle first:
2theta, Rel. int.
13.8, 12
22.3, 13
27.8, 100
30.2, 26
33.2, 46
45.5, 31
47.7, 16
52.3, 12
56.1, 26
57.5, 15

---

[3]
FeCo2Si: computed X-ray diffraction stick pattern (Cu Kα (weighted mean of Kα1 and Kα2)), based on the GGA-PBE geometry in Alexandria.

Structure:
Cell: 2.764 3.937 3.997 Å, 90.00 90.00 90.00°
Fractional positions:
1 Fe 0.000 0.000 0.000
2 Co 0.000 0.500 0.500
3 Co 0.500 0.500 0.000
4 Si 0.500 0.000 0.500

Top 10 peaks for 2θ from 10° to 90°, low angle first:
2theta, Rel. int.
22.2, 3
22.6, 4
31.9, 2
45.4, 21
46.1, 100
66.7, 12
67.8, 6
84.4, 12
85.4, 18
85.9, 6